Starting from a structure optimized by DFT (PBE), the X-ray powder pattern of BaSr5Cd4 was calculated for Cu Kα.
Intensities are scaled so that the largest is 100.

Principal peaks in the range 2θ from 10° to 90°, low angle first:
2theta, d (Å), I_rel, index
26.80, 3.327, 27, 1 0 4
29.34, 3.044, 97, 1 0 5
30.75, 2.907, 100, 1 1 0
32.19, 2.780, 76, 1 0 6
44.04, 2.056, 44, 2 0 0
53.81, 1.704, 34, 2 1 5
54.63, 1.680, 16, 1 1 11
55.60, 1.653, 31, 2 1 6
58.29, 1.583, 14, 1 1 12
64.03, 1.454, 21, 2 2 0
72.73, 1.300, 16, 3 1 0
74.94, 1.267, 15, 1 0 17

Atomic structure:
```
data_BaSr5Cd4
_chemical_formula_sum 'Ba1 Sr5 Cd4'
_symmetry_space_group_name_H-M 'P 1'
_symmetry_Int_Tables_number 1
_cell_length_a 4.112
_cell_length_b 4.112
_cell_length_c 22.645
_cell_angle_alpha 90.00
_cell_angle_beta 90.00
_cell_angle_gamma 90.00
loop_
_symmetry_equiv_pos_as_xyz
'x,y,z'
loop_
_atom_site_label
_atom_site_fract_x
_atom_site_fract_y
_atom_site_fract_z
_atom_site_occupancy
Ba1 0.000 0.000 0.000 1
Sr1 0.500 0.500 0.149 1
Sr2 0.500 0.500 0.324 1
Sr3 0.500 0.500 0.500 1
Sr4 0.500 0.500 0.676 1
Sr5 0.500 0.500 0.851 1
Cd1 0.000 0.000 0.234 1
Cd2 0.000 0.000 0.413 1
Cd3 0.000 0.000 0.587 1
Cd4 0.000 0.000 0.766 1
```